Entry 1:
Calculated XRD peak list
Compound: ScAsIr
Radiation: CuKα
Structure: a structure optimized by DFT (GGA-PBE)

Principal peaks in the range 10 to 80 degrees two-theta, low angle first:
- 20.51°, I = 56
- 23.87°, I = 71
- 35.18°, I = 52
- 35.39°, I = 100
- 38.64°, I = 57
- 38.90°, I = 39
- 41.52°, I = 38
- 46.08°, I = 53

Cell and atoms:
a b c (Å): 6.638 3.939 11.550
angles (deg): 90.00 90.72 90.00
Fractional positions:
Sc 0.021 0.250 0.209
Sc 0.339 0.750 0.578
Sc 0.467 0.750 0.883
Sc 0.533 0.250 0.117
Sc 0.661 0.250 0.422
Sc 0.979 0.750 0.791
As 0.237 0.750 0.084
As 0.244 0.250 0.417
As 0.276 0.250 0.751
As 0.724 0.750 0.249
As 0.756 0.750 0.583
As 0.763 0.250 0.916
Ir 0.019 0.250 0.593
Ir 0.156 0.250 0.956
Ir 0.353 0.750 0.295
Ir 0.647 0.250 0.705
Ir 0.844 0.750 0.044
Ir 0.981 0.750 0.407

Entry 2:
Calculated XRD peak list
Compound: Tb6AsIr2Se3
Radiation: CuKα
Structure: a structure optimized by DFT (GGA-PBE)

Principal peaks in the range 10 to 80 degrees two-theta, low angle first:
- 12.71°, I = 12
- 30.63°, I = 100
- 43.14°, I = 37
- 44.60°, I = 36
- 55.08°, I = 18
- 63.79°, I = 11
- 71.35°, I = 14
- 73.47°, I = 15

Cell and atoms:
a b c (Å): 9.326 9.326 8.398
angles (deg): 105.53 105.53 25.17
Fractional positions:
Tb 0.011 0.011 0.249
Tb 0.329 0.329 0.423
Tb 0.333 0.333 0.888
Tb 0.667 0.667 0.112
Tb 0.671 0.671 0.577
Tb 0.989 0.989 0.751
As 0.500 0.500 0.000
Ir 0.170 0.170 0.343
Ir 0.830 0.830 0.657
Se 0.162 0.162 0.843
Se 0.500 0.500 0.500
Se 0.838 0.838 0.157

Entry 3:
Calculated XRD peak list
Compound: SrAsIr2
Radiation: CuKα
Structure: a structure optimized by DFT (GGA-PBE)

Principal peaks in the range 10 to 80 degrees two-theta, low angle first:
- 16.33°, I = 100
- 26.09°, I = 19
- 32.40°, I = 55
- 33.01°, I = 24
- 36.49°, I = 30
- 41.57°, I = 81
- 44.95°, I = 48
- 54.08°, I = 36

Cell and atoms:
a b c (Å): 5.978 5.978 5.978
angles (deg): 42.61 42.61 42.61
Fractional positions:
Sr 0.000 0.000 0.000
As 0.797 0.797 0.797
Ir 0.199 0.199 0.199
Ir 0.527 0.527 0.527

Entry 4:
Calculated XRD peak list
Compound: Sr2AsIr2
Radiation: CuKα
Structure: a structure optimized by DFT (GGA-PBE)

Principal peaks in the range 10 to 80 degrees two-theta, low angle first:
- 18.23°, I = 13
- 18.47°, I = 28
- 34.61°, I = 100
- 37.44°, I = 25
- 41.50°, I = 24
- 45.77°, I = 12
- 57.11°, I = 18
- 65.73°, I = 16

Cell and atoms:
a b c (Å): 6.882 6.882 4.805
angles (deg): 90.00 90.00 90.00
Fractional positions:
Sr 0.178 0.322 0.000
Sr 0.322 0.822 0.000
Sr 0.678 0.178 0.000
Sr 0.822 0.678 0.000
As 0.000 0.000 0.500
As 0.500 0.500 0.500
Ir 0.130 0.630 0.500
Ir 0.370 0.130 0.500
Ir 0.630 0.870 0.500
Ir 0.870 0.370 0.500